PbSe: computed X-ray diffraction stick pattern (Cu Ka), based on DFT lattice parameters and positions (GGA-PBE).

The 10 most intense peaks (15° ≤ 2θ ≤ 90°), low angle first:
2θ 24.08, rel. 32; 2θ 26.98, rel. 56; 2θ 28.46, rel. 25; 2θ 29.26, rel. 100; 2θ 35.12, rel. 22; 2θ 39.61, rel. 18; 2θ 40.48, rel. 23; 2θ 41.47, rel. 17; 2θ 44.84, rel. 49; 2θ 49.32, rel. 22

Lattice parameters (Å, degrees): 13.220 4.456 4.415 90.00 90.00 90.00
Space group Pnma (No. 62)
Inequivalent atoms, fractional coordinates:
Pb  0.140  0.250  0.090 [4 per cell]
Se  0.142  0.750  0.548 [4 per cell]

---

K2YTlBr6: computed X-ray diffraction stick pattern (Cu Ka), based on DFT lattice parameters and positions (GGA-PBE).

The 10 most intense peaks (15° ≤ 2θ ≤ 90°), low angle first:
2θ 21.03, rel. 30; 2θ 25.83, rel. 21; 2θ 29.91, rel. 100; 2θ 33.54, rel. 53; 2θ 42.81, rel. 71; 2θ 45.54, rel. 28; 2θ 53.09, rel. 24; 2θ 64.28, rel. 16; 2θ 70.48, rel. 29; 2θ 78.40, rel. 21

Lattice parameters (Å, degrees): 11.951 11.951 11.951 90.00 90.00 90.00
Space group Fm-3m (No. 225)
Inequivalent atoms, fractional coordinates:
K  0.250  0.250  0.250 [8 per cell]
Y  0.000  0.000  0.000 [4 per cell]
Tl  0.000  0.000  0.500 [4 per cell]
Br  0.000  0.000  0.234 [24 per cell]

---

Np2H2SeO10: computed X-ray diffraction stick pattern (Cu Ka), based on DFT lattice parameters and positions (GGA-PBE).

The 10 most intense peaks (15° ≤ 2θ ≤ 90°), low angle first:
2θ 20.97, rel. 55; 2θ 22.13, rel. 35; 2θ 22.51, rel. 100; 2θ 25.18, rel. 21; 2θ 27.11, rel. 30; 2θ 27.45, rel. 20; 2θ 28.75, rel. 22; 2θ 30.83, rel. 36; 2θ 45.95, rel. 19; 2θ 46.50, rel. 21

Lattice parameters (Å, degrees): 10.540 6.012 13.541 90.00 96.32 90.00
Space group P2_1/c (No. 14)
Inequivalent atoms, fractional coordinates:
Np  0.102  0.208  0.187 [4 per cell]
Np  0.387  0.720  0.173 [4 per cell]
H  0.046  0.208  0.957 [4 per cell]
H  0.145  0.018  0.984 [4 per cell]
Se  0.242  0.600  0.900 [4 per cell]
O  0.017  0.561  0.706 [4 per cell]
O  0.096  0.694  0.921 [4 per cell]
O  0.112  0.158  0.008 [4 per cell]
O  0.188  0.032  0.670 [4 per cell]
O  0.224  0.139  0.335 [4 per cell]
O  0.273  0.543  0.645 [4 per cell]
O  0.310  0.708  0.333 [4 per cell]
O  0.327  0.550  0.007 [4 per cell]
O  0.477  0.035  0.713 [4 per cell]
O  0.492  0.178  0.904 [4 per cell]

---

HfMg: computed X-ray diffraction stick pattern (Cu Ka), based on DFT lattice parameters and positions (GGA-PBE).

The 9 most intense peaks (15° ≤ 2θ ≤ 90°), low angle first:
2θ 25.54, rel. 69; 2θ 36.43, rel. 100; 2θ 45.03, rel. 21; 2θ 52.48, rel. 18; 2θ 59.25, rel. 28; 2θ 65.57, rel. 36; 2θ 77.40, rel. 11; 2θ 83.09, rel. 14; 2θ 88.70, rel. 16

Lattice parameters (Å, degrees): 3.487 3.487 3.487 90.00 90.00 90.00
Space group Pm-3m (No. 221)
Inequivalent atoms, fractional coordinates:
Hf  0.000  0.000  0.000 [1 per cell]
Mg  0.500  0.500  0.500 [1 per cell]

---

KHS: computed X-ray diffraction stick pattern (Cu Ka), based on DFT lattice parameters and positions (GGA-PBE).

The 10 most intense peaks (15° ≤ 2θ ≤ 90°), low angle first:
2θ 27.47, rel. 100; 2θ 35.75, rel. 48; 2θ 42.50, rel. 26; 2θ 45.67, rel. 22; 2θ 56.69, rel. 14; 2θ 59.31, rel. 18; 2θ 64.22, rel. 7; 2θ 68.83, rel. 22; 2θ 75.73, rel. 4; 2θ 82.32, rel. 7

Lattice parameters (Å, degrees): 5.0238 5.0238 9.7526 90.00 90.00 120.00
Space group R3m (No. 160, hexagonal axes)
Inequivalent atoms, fractional coordinates:
K  0.0000  0.0000  0.0000 [3 per cell]
H  0.0000  0.0000  0.3568 [3 per cell]
S  0.0000  0.0000  0.4954 [3 per cell]

---

Cs4TlSbCl12: computed X-ray diffraction stick pattern (Cu Ka), based on DFT lattice parameters and positions (GGA-PBE).

The 10 most intense peaks (15° ≤ 2θ ≤ 90°), low angle first:
2θ 23.38, rel. 100; 2θ 27.49, rel. 28; 2θ 28.74, rel. 32; 2θ 33.20, rel. 24; 2θ 33.36, rel. 42; 2θ 41.09, rel. 40; 2θ 47.78, rel. 28; 2θ 47.90, rel. 13; 2θ 59.52, rel. 12; 2θ 64.89, rel. 11

Lattice parameters (Å, degrees): 10.744 10.744 21.585 90.00 90.00 90.00
Space group I4_1/amd (No. 141, origin choice 2)
Inequivalent atoms, fractional coordinates:
Cs  0.221  0.000  0.000 [16 per cell]
Tl  0.000  0.250  0.875 [4 per cell]
Sb  0.000  0.250  0.375 [4 per cell]
Cl  0.000  0.004  0.871 [16 per cell]
Cl  0.000  0.024  0.376 [16 per cell]
Cl  0.000  0.250  0.263 [8 per cell]
Cl  0.000  0.250  0.753 [8 per cell]

---

SmP: computed X-ray diffraction stick pattern (Cu Ka), based on DFT lattice parameters and positions (GGA-PBE).

The 10 most intense peaks (15° ≤ 2θ ≤ 90°), low angle first:
2θ 26.57, rel. 82; 2θ 30.77, rel. 100; 2θ 44.08, rel. 73; 2θ 52.21, rel. 40; 2θ 54.72, rel. 26; 2θ 64.10, rel. 12; 2θ 70.66, rel. 16; 2θ 72.78, rel. 33; 2θ 81.07, rel. 25; 2θ 87.15, rel. 13

Lattice parameters (Å, degrees): 5.811 5.811 5.811 90.00 90.00 90.00
Space group Fm-3m (No. 225)
Inequivalent atoms, fractional coordinates:
Sm  0.000  0.000  0.000 [4 per cell]
P  0.000  0.000  0.500 [4 per cell]